Starting from DFT lattice parameters and positions (PBE+U), the powder diffraction line list of NaCa3Fe4Si8O24 was computed for λ = 1.5418 Å (Cu Kα).
Neutral-atom scattering factors, no anomalous dispersion.

Crystal structure
```
data_NaCa3Fe4Si8O24
_cell_length_a 7.6947
_cell_length_b 7.6947
_cell_length_c 9.9315
_cell_angle_alpha 117.00
_cell_angle_beta 117.00
_cell_angle_gamma 72.35
_space_group_name_H-M_alt 'P 1'
_space_group_IT_number 1
loop_
_space_group_symop_operation_xyz
'x,y,z'
loop_
_atom_site_label
_atom_site_type_symbol
_atom_site_fract_x
_atom_site_fract_y
_atom_site_fract_z
_atom_site_occupancy
Na1 Na 0.0000 0.0000 0.0000 1
Ca1 Ca 0.3405 0.1521 0.7457 1
Ca2 Ca 0.4948 0.5052 0.5000 1
Ca3 Ca 0.8479 0.6595 0.2543 1
Fe1 Fe 0.3877 0.6123 0.0000 1
Fe2 Fe 0.4421 0.0519 0.2450 1
Fe3 Fe 0.8833 0.1167 0.5000 1
Fe4 Fe 0.9481 0.5579 0.7550 1
Si1 Si 0.1246 0.3605 0.4566 1
Si2 Si 0.1442 0.3680 0.0456 1
Si3 Si 0.1985 0.7903 0.7077 1
Si4 Si 0.2097 0.8015 0.2923 1
Si5 Si 0.6320 0.8558 0.9544 1
Si6 Si 0.6395 0.8754 0.5434 1
Si7 Si 0.6927 0.2916 0.2023 1
Si8 Si 0.7084 0.3073 0.7977 1
O1 O 0.0112 0.9171 0.3238 1
O2 O 0.0811 0.3228 0.5863 1
O3 O 0.0829 0.9888 0.6762 1
O4 O 0.1535 0.6013 0.5270 1
O5 O 0.1738 0.7317 0.8354 1
O6 O 0.1836 0.5609 0.2254 1
O7 O 0.1955 0.4204 0.9255 1
O8 O 0.2594 0.1701 0.0746 1
O9 O 0.2683 0.8262 0.1646 1
O10 O 0.3234 0.2468 0.4260 1
O11 O 0.3987 0.8465 0.4730 1
O12 O 0.4391 0.8164 0.7746 1
O13 O 0.5097 0.4198 0.8353 1
O14 O 0.5802 0.4903 0.1647 1
O15 O 0.5796 0.8045 0.0745 1
O16 O 0.6486 0.0977 0.0269 1
O17 O 0.6500 0.2536 0.3316 1
O18 O 0.6707 0.0699 0.7191 1
O19 O 0.6772 0.9189 0.4137 1
O20 O 0.7464 0.3500 0.6684 1
O21 O 0.7532 0.6766 0.5740 1
O22 O 0.8299 0.7406 0.9254 1
O23 O 0.9023 0.3514 0.9731 1
O24 O 0.9301 0.3293 0.2809 1
```

The 6 most intense peaks (2θ from 5° to 70°), in order of falling intensity:
2theta, I (rel.)
29.3, 100.0
35.1, 43.4
34.9, 42.4
29.7, 39.6
55.6, 33.4
34.3, 30.6